Entry 1:
Starting from a DFT-relaxed cell (PBE, the Materials Project), the PXRD pattern of PrMgRe2O8 was simulated for Cu Kα (weighted mean of Kα1 and Kα2).

Cell and atoms:
Cell: 9.0257 6.3780 6.2839 Å, 90.00 95.64 90.00°
Space group C2/m (No. 12)
Inequivalent atoms, fractional coordinates:
Pr (0.0000, 0.0000, 0.0000) [2 per cell]
Mg (0.0000, 0.0000, 0.5000) [2 per cell]
Re (0.1121, 0.5000, 0.6370) [4 per cell]
O (0.0947, 0.2301, 0.7419) [8 per cell]
O (0.1222, 0.5000, 0.3457) [4 per cell]
O (0.1759, 0.0000, 0.3113) [4 per cell]

Largest 10 diffraction maxima, sorted by position, 5 to 70 degrees two-theta:
two_theta	I/Imax
14.2	14
21.6	100
25.5	19
28.0	32
33.1	17
33.3	15
34.3	24
44.0	16
45.9	15
53.0	19

=====

Entry 2:
Starting from a DFT-relaxed cell (PBE, the Materials Project), the PXRD pattern of Li2PtO6 was simulated for Cu Kα (weighted mean of Kα1 and Kα2).

Cell and atoms:
Cell: 5.3732 5.3732 3.8507 Å, 90.00 90.00 120.00°
Space group P-31m (No. 162)
Inequivalent atoms, fractional coordinates:
Li (0.3333, 0.6667, 0.0000) [2 per cell]
Pt (0.0000, 0.0000, 0.0000) [1 per cell]
O (0.0000, 0.2991, 0.2764) [6 per cell]

Largest 10 diffraction maxima, sorted by position, 5 to 70 degrees two-theta:
two_theta	I/Imax
19.1	100
23.1	18
30.1	56
33.4	15
38.7	12
41.0	36
45.6	19
51.4	12
57.6	19
59.0	14

=====

Entry 3:
Starting from a DFT-relaxed cell (PBE, the Materials Project), the PXRD pattern of MgTe2Mo2W2Se4S2 was simulated for Cu Kα (weighted mean of Kα1 and Kα2).

Cell and atoms:
Cell: 3.3402 3.3402 45.3723 Å, 90.00 90.00 120.00°
Space group P3m1 (No. 156)
Inequivalent atoms, fractional coordinates:
Mg (0.0000, 0.0000, 0.0000) [1 per cell]
Te (0.6667, 0.3333, 0.4903) [1 per cell]
Te (0.6667, 0.3333, 0.5740) [1 per cell]
Mo (0.3333, 0.6667, 0.5321) [1 per cell]
Mo (0.3333, 0.6667, 0.9021) [1 per cell]
W (0.6667, 0.3333, 0.1045) [1 per cell]
W (0.6667, 0.3333, 0.7207) [1 per cell]
Se (0.3333, 0.6667, 0.6837) [1 per cell]
Se (0.3333, 0.6667, 0.7576) [1 per cell]
Se (0.6667, 0.3333, 0.8655) [1 per cell]
Se (0.6667, 0.3333, 0.9394) [1 per cell]
S (0.3333, 0.6667, 0.0709) [1 per cell]
S (0.3333, 0.6667, 0.1379) [1 per cell]

Largest 10 diffraction maxima, sorted by position, 5 to 70 degrees two-theta:
two_theta	I/Imax
5.8	27
9.7	100
11.7	16
30.9	20
32.5	13
34.8	27
40.5	35
41.8	13
55.0	14
56.0	8

=====

Entry 4:
Starting from a DFT-relaxed cell (PBE, the Materials Project), the PXRD pattern of CsEu2I5 was simulated for Cu Kα (weighted mean of Kα1 and Kα2).

Cell and atoms:
Cell: 10.3177 9.2040 14.4681 Å, 90.00 90.54 90.00°
Space group P2_1/c (No. 14)
Inequivalent atoms, fractional coordinates:
Cs (0.0075, 0.0569, 0.3327) [4 per cell]
Eu (0.2563, 0.5718, 0.4937) [4 per cell]
Eu (0.4965, 0.5262, 0.1811) [4 per cell]
I (0.0352, 0.1735, 0.0747) [4 per cell]
I (0.2814, 0.6865, 0.7145) [4 per cell]
I (0.2892, 0.1584, 0.8165) [4 per cell]
I (0.2955, 0.5482, 0.9966) [4 per cell]
I (0.4582, 0.1610, 0.0991) [4 per cell]

Largest 10 diffraction maxima, sorted by position, 5 to 70 degrees two-theta:
two_theta	I/Imax
26.5	65
26.7	100
26.8	31
28.7	73
28.8	60
29.8	43
30.0	31
30.3	45
32.9	36
34.8	52